[1]
The following is a calculated powder diffraction line list of Rb4SrCd3Cl12. It was derived from DFT lattice parameters and positions (PBE), using Cu Kα (λ = 1.5418 Å).

Main lines, low angle first (2θ = 15–90°):
- 16.47°, d 5.381, I = 169, (2 0 0)
- 23.38°, d 3.805, I = 1000, (2 2 0)
- 33.30°, d 2.690, I = 740, (4 0 0)
- 41.09°, d 2.197, I = 459, (4 2 2)
- 47.81°, d 1.902, I = 496, (4 4 0)
- 53.88°, d 1.702, I = 211, (6 2 0)
- 59.51°, d 1.553, I = 165, (4 4 4)
- 64.83°, d 1.438, I = 239, (6 4 2)
- 79.69°, d 1.203, I = 208, (8 4 0)
- 89.15°, d 1.098, I = 163, (8 4 4)

Structure:
abc: 10.7620 10.7620 10.7620
angles: 90.00 90.00 90.00
Space group Im-3m (No. 229)
Symmetry-distinct sites (fractional):
Rb 0.2500 0.2500 0.2500 x8
Sr 0.0000 0.0000 0.0000 x2
Cd 0.0000 0.0000 0.5000 x6
Cl 0.0000 0.0000 0.2605 x12
Cl 0.0000 0.2500 0.5000 x12

=====

[2]
The following is a calculated powder diffraction line list of DyNp2Sb3. It was derived from DFT lattice parameters and positions (PBE), using Cu Kα (λ = 1.5418 Å).

Main lines, low angle first (2θ = 15–90°):
- 24.82°, d 3.587, I = 127, (2 2 0)
- 28.74°, d 3.106, I = 1000, (2 0 6)
- 41.10°, d 2.196, I = 770, (4 0 0)
- 48.61°, d 1.873, I = 70, (4 2 6)
- 50.92°, d 1.793, I = 277, (4 4 0)
- 59.52°, d 1.553, I = 130, (4 0 12)
- 65.50°, d 1.425, I = 31, (6 2 0)
- 67.42°, d 1.389, I = 359, (6 0 6)
- 74.88°, d 1.268, I = 267, (6 4 6)
- 89.17°, d 1.098, I = 75, (8 0 0)

Structure:
abc: 8.7910 12.4223 26.3423
angles: 90.00 90.00 90.00
Space group Fddd (No. 70, origin choice 2)
Symmetry-distinct sites (fractional):
Dy 0.1250 0.1250 0.0415 x16
Np 0.1250 0.1250 0.3751 x16
Np 0.1250 0.1250 0.5419 x16
Sb 0.1236 0.3750 0.3750 x16
Sb 0.1252 0.3749 0.0416 x32